Theoretical X-ray powder pattern
Compound: BaNbS3
Radiation: a wavelength of 1.5418 Å
Structure: a DFT-relaxed cell (PBE, the Materials Project)
Neutral-atom scattering factors, no anomalous dispersion.

Largest 10 diffraction maxima, low angle first, 5° ≤ 2θ ≤ 70°:
index  2θ/deg  I/Imax
1 0 0  14.71  21
1 0 1  21.37  52
1 1 0  25.63  95
2 0 1  33.60  100
1 0 2  34.58  51
2 1 1  42.73  20
2 0 2  43.53  53
3 0 0  45.18  21
2 1 2  51.20  29
2 2 0  52.66  35

a = 6.9523 Å, b = 6.9523 Å, c = 5.7490 Å
α = 90.00°, β = 90.00°, γ = 120.00°
Space group P6_3/mmc (No. 194)
Unique sites:
Ba  0.3333  0.6667  0.2500
Nb  0.0000  0.0000  0.0000
S  0.1708  0.3415  0.7500